Structure and theoretical powder diffractogram of La5Tb4Sm3 (a PBE-relaxed structure; Cu Ka).
Neutral-atom scattering factors, no anomalous dispersion.

Largest 8 diffraction maxima, low angle first, 10 to 80 degrees two-theta:
(5 1 -1), 3.120 Å, 28.61 deg, intensity 534; (1 1 2), 2.973 Å, 30.06 deg, intensity 802; (0 2 0), 2.933 Å, 30.48 deg, intensity 1000; (5 1 0), 2.834 Å, 31.57 deg, intensity 261; (4 2 -3), 2.074 Å, 43.64 deg, intensity 342; (6 2 1), 1.780 Å, 51.33 deg, intensity 137; (2 0 4), 1.726 Å, 53.06 deg, intensity 160; (1 3 2), 1.700 Å, 53.93 deg, intensity 144

Atomic structure:
```
data_La5Tb4Sm3
_space_group_name_H-M_alt 'C 1 2/m 1'
_space_group_IT_number 12
_cell_length_a 18.4834
_cell_length_b 5.8600
_cell_length_c 8.9620
_cell_angle_alpha 90.00
_cell_angle_beta 118.87
_cell_angle_gamma 90.00
loop_
_space_group_symop_operation_xyz
'x,y,z'
'-x,-y,-z'
'-x,y,-z'
'x,-y,z'
'x+1/2,y+1/2,z'
'-x+1/2,-y+1/2,-z'
'-x+1/2,y+1/2,-z'
'x+1/2,-y+1/2,z'
loop_
_atom_site_label
_atom_site_type_symbol
_atom_site_fract_x
_atom_site_fract_y
_atom_site_fract_z
La1 La 0.0000 0.0000 0.0000
La2 La 0.1074 0.5000 0.4276
La3 La 0.1640 0.5000 0.8964
Tb1 Tb 0.0312 0.0000 0.7008
Tb2 Tb 0.1998 0.0000 0.6426
Sm1 Sm 0.0000 0.5000 0.0000
Sm2 Sm 0.1832 0.0000 0.2197
```